This entry pairs a crystal structure of NaHoMoO5 with its calculated XRD peak list. Radiation: Cu Kα (λ = 1.5418 Å). Structure: a structure optimized by DFT (PBE+U).
Peak positions follow from Bragg's law for the DFT cell and can differ from measured ones.

The 10 most intense peaks (15° ≤ 2θ ≤ 90°), in order of rising 2θ:
| 2theta | I (rel.) |
| --- | --- |
| 15.81 | 51 |
| 16.61 | 20 |
| 24.41 | 65 |
| 26.14 | 46 |
| 30.27 | 100 |
| 33.02 | 16 |
| 33.58 | 20 |
| 38.90 | 18 |
| 46.46 | 17 |
| 48.74 | 18 |

Atomic structure:
```
data_NaHoMoO5
_chemical_formula_sum 'Na2 Ho2 Mo2 O10'
_cell_length_a 6.150
_cell_length_b 6.150
_cell_length_c 7.966
_cell_angle_alpha 103.20
_cell_angle_beta 103.20
_cell_angle_gamma 106.33
_symmetry_space_group_name_H-M 'P 1'
_symmetry_Int_Tables_number 1
_symmetry_space_group_name_Hall 'P 1'
loop_
_atom_site_label
_atom_site_fract_x
_atom_site_fract_y
_atom_site_fract_z
Na1 0.195 0.805 0.750
Na2 0.805 0.195 0.250
Ho1 0.500 0.500 0.000
Ho2 0.500 0.500 0.500
Mo1 0.179 0.821 0.250
Mo2 0.821 0.179 0.750
O1 0.104 0.247 0.915
O2 0.173 0.599 0.364
O3 0.247 0.104 0.415
O4 0.401 0.827 0.136
O5 0.420 0.580 0.750
O6 0.580 0.420 0.250
O7 0.599 0.173 0.864
O8 0.753 0.896 0.585
O9 0.827 0.401 0.636
O10 0.896 0.753 0.085
```